(1)
Starting from the GGA-PBE geometry in Alexandria, the powder diffractogram of EuPd3 was computed for Cu Ka.

Structure:
a b c (Å): 4.2828 4.2828 8.1309
angles (deg): 90.00 90.00 90.00
Space group I4/mmm (No. 139)
Unique sites:
Eu 0.0000 0.0000 0.0000 [2 per cell]
Pd 0.0000 0.0000 0.5000 [2 per cell]
Pd 0.0000 0.5000 0.2500 [4 per cell]

Top 12 peaks for 10 to 80 degrees two-theta, by angle:
- d = 3.789 Å, 2θ 23.48, intensity 3
- d = 3.028 Å, 2θ 29.50, intensity 1
- d = 2.429 Å, 2θ 37.02, intensity 100
- d = 2.290 Å, 2θ 39.34, intensity 1
- d = 2.141 Å, 2θ 42.20, intensity 34
- d = 2.033 Å, 2θ 44.58, intensity 15
- d = 1.864 Å, 2θ 48.85, intensity 1
- d = 1.514 Å, 2θ 61.21, intensity 11
- d = 1.474 Å, 2θ 63.06, intensity 21
- d = 1.285 Å, 2θ 73.74, intensity 26
- d = 1.237 Å, 2θ 77.11, intensity 11
- d = 1.214 Å, 2θ 78.82, intensity 11

=====

(2)
Starting from the GGA-PBE geometry in Alexandria, the powder diffractogram of Pr3EuPd was computed for Cu Ka.

Structure:
a b c (Å): 5.7611 5.7611 5.7611
angles (deg): 90.00 90.00 90.00
Space group Pm-3m (No. 221)
Unique sites:
Pr 0.0000 0.0000 0.5000 [3 per cell]
Eu 0.5000 0.5000 0.5000 [1 per cell]
Pd 0.0000 0.0000 0.0000 [1 per cell]

Top 12 peaks for 10 to 80 degrees two-theta, by angle:
- d = 5.761 Å, 2θ 15.38, intensity 12
- d = 4.074 Å, 2θ 21.82, intensity 15
- d = 3.326 Å, 2θ 26.80, intensity 91
- d = 2.881 Å, 2θ 31.05, intensity 100
- d = 2.576 Å, 2θ 34.82, intensity 6
- d = 2.352 Å, 2θ 38.27, intensity 7
- d = 2.037 Å, 2θ 44.48, intensity 74
- d = 1.737 Å, 2θ 52.70, intensity 42
- d = 1.663 Å, 2θ 55.23, intensity 26
- d = 1.440 Å, 2θ 64.72, intensity 12
- d = 1.322 Å, 2θ 71.36, intensity 17
- d = 1.288 Å, 2θ 73.52, intensity 33

=====

(3)
Starting from the GGA-PBE geometry in Alexandria, the powder diffractogram of SrEuPdPt was computed for Cu Ka.

Structure:
a b c (Å): 7.3109 7.3109 7.3109
angles (deg): 90.00 90.00 90.00
Space group F-43m (No. 216)
Unique sites:
Sr 0.0000 0.0000 0.0000 [4 per cell]
Eu 0.0000 0.0000 0.5000 [4 per cell]
Pd 0.2500 0.2500 0.7500 [4 per cell]
Pt 0.2500 0.2500 0.2500 [4 per cell]

Top 11 peaks for 10 to 80 degrees two-theta, by angle:
- d = 4.221 Å, 2θ 21.05, intensity 8
- d = 3.655 Å, 2θ 24.35, intensity 1
- d = 2.585 Å, 2θ 34.71, intensity 100
- d = 2.204 Å, 2θ 40.94, intensity 5
- d = 1.828 Å, 2θ 49.90, intensity 18
- d = 1.677 Å, 2θ 54.73, intensity 2
- d = 1.635 Å, 2θ 56.27, intensity 1
- d = 1.492 Å, 2θ 62.21, intensity 37
- d = 1.407 Å, 2θ 66.45, intensity 2
- d = 1.292 Å, 2θ 73.24, intensity 11
- d = 1.236 Å, 2θ 77.19, intensity 2

=====

(4)
Starting from the GGA-PBE geometry in Alexandria, the powder diffractogram of EuScPdRh was computed for Cu Ka.

Structure:
a b c (Å): 6.8310 6.8310 6.8310
angles (deg): 90.00 90.00 90.00
Space group F-43m (No. 216)
Unique sites:
Eu 0.0000 0.0000 0.0000 [4 per cell]
Sc 0.0000 0.0000 0.5000 [4 per cell]
Pd 0.2500 0.2500 0.2500 [4 per cell]
Rh 0.2500 0.2500 0.7500 [4 per cell]

Top 8 peaks for 10 to 80 degrees two-theta, by angle:
- d = 3.944 Å, 2θ 22.54, intensity 16
- d = 2.415 Å, 2θ 37.23, intensity 100
- d = 2.060 Å, 2θ 43.96, intensity 9
- d = 1.708 Å, 2θ 53.67, intensity 17
- d = 1.567 Å, 2θ 58.94, intensity 4
- d = 1.394 Å, 2θ 67.13, intensity 34
- d = 1.315 Å, 2θ 71.81, intensity 3
- d = 1.208 Å, 2θ 79.35, intensity 11

=====

(5)
Starting from the GGA-PBE geometry in Alexandria, the powder diffractogram of EuSb2Pd2 was computed for Cu Ka.

Structure:
a b c (Å): 4.6691 4.6691 10.7212
angles (deg): 90.00 90.00 90.00
Space group P4/nmm (No. 129, origin choice 2)
Unique sites:
Eu 0.2500 0.2500 0.2408 [2 per cell]
Sb 0.2500 0.2500 0.8724 [2 per cell]
Sb 0.2500 0.7500 0.5000 [2 per cell]
Pd 0.2500 0.2500 0.6286 [2 per cell]
Pd 0.2500 0.7500 0.0000 [2 per cell]

Top 12 peaks for 10 to 80 degrees two-theta, by angle:
- d = 3.302 Å, 2θ 27.01, intensity 12
- d = 2.838 Å, 2θ 31.53, intensity 62
- d = 2.811 Å, 2θ 31.83, intensity 100
- d = 2.335 Å, 2θ 38.56, intensity 73
- d = 2.081 Å, 2θ 43.49, intensity 26
- d = 1.949 Å, 2θ 46.61, intensity 24
- d = 1.803 Å, 2θ 50.63, intensity 32
- d = 1.651 Å, 2θ 55.68, intensity 25
- d = 1.571 Å, 2θ 58.76, intensity 13
- d = 1.496 Å, 2θ 62.04, intensity 20
- d = 1.423 Å, 2θ 65.58, intensity 24
- d = 1.293 Å, 2θ 73.18, intensity 11

=====

(6)
Starting from the GGA-PBE geometry in Alexandria, the powder diffractogram of Eu3Sn2Pd2 was computed for Cu Ka.

Structure:
a b c (Å): 6.0197 8.7128 14.1443
angles (deg): 90.00 90.00 90.00
Space group Pbcm (No. 57)
Unique sites:
Eu 0.1458 0.2482 0.2500 [4 per cell]
Eu 0.3504 0.6061 0.0982 [8 per cell]
Sn 0.1557 0.2500 0.0000 [4 per cell]
Sn 0.3524 0.6010 0.7500 [4 per cell]
Pd 0.1186 0.5365 0.5896 [8 per cell]

Top 12 peaks for 10 to 80 degrees two-theta, by angle:
- d = 3.200 Å, 2θ 27.88, intensity 35
- d = 2.878 Å, 2θ 31.08, intensity 54
- d = 2.845 Å, 2θ 31.45, intensity 60
- d = 2.825 Å, 2θ 31.67, intensity 53
- d = 2.745 Å, 2θ 32.62, intensity 45
- d = 2.616 Å, 2θ 34.28, intensity 90
- d = 2.498 Å, 2θ 35.95, intensity 23
- d = 2.436 Å, 2θ 36.90, intensity 100
- d = 2.357 Å, 2θ 38.18, intensity 32
- d = 2.048 Å, 2θ 44.22, intensity 25
- d = 1.751 Å, 2θ 52.23, intensity 23
- d = 1.700 Å, 2θ 53.94, intensity 24

=====

(7)
Starting from the GGA-PBE geometry in Alexandria, the powder diffractogram of SrEuPd4 was computed for Cu Ka.

Structure:
a b c (Å): 7.8848 7.8848 7.8848
angles (deg): 90.00 90.00 90.00
Space group F-43m (No. 216)
Unique sites:
Sr 0.0000 0.0000 0.0000 [4 per cell]
Eu 0.2500 0.2500 0.2500 [4 per cell]
Pd 0.1248 0.1248 0.6248 [16 per cell]

Top 12 peaks for 10 to 80 degrees two-theta, by angle:
- d = 4.552 Å, 2θ 19.50, intensity 5
- d = 3.942 Å, 2θ 22.55, intensity 2
- d = 2.788 Å, 2θ 32.11, intensity 30
- d = 2.377 Å, 2θ 37.84, intensity 100
- d = 2.276 Å, 2θ 39.60, intensity 37
- d = 1.971 Å, 2θ 46.05, intensity 3
- d = 1.763 Å, 2θ 51.86, intensity 1
- d = 1.609 Å, 2θ 57.24, intensity 11
- d = 1.517 Å, 2θ 61.07, intensity 32
- d = 1.394 Å, 2θ 67.16, intensity 27
- d = 1.247 Å, 2θ 76.39, intensity 5
- d = 1.202 Å, 2θ 79.75, intensity 11

=====

(8)
Starting from the GGA-PBE geometry in Alexandria, the powder diffractogram of PmEu2 was computed for Cu Ka.

Structure:
a b c (Å): 3.7728 3.7728 16.2721
angles (deg): 90.00 90.00 90.00
Space group I4/mmm (No. 139)
Unique sites:
Pm 0.0000 0.0000 0.0000 [2 per cell]
Eu 0.0000 0.0000 0.3369 [4 per cell]

Top 12 peaks for 10 to 80 degrees two-theta, by angle:
- d = 3.097 Å, 2θ 28.83, intensity 100
- d = 2.712 Å, 2θ 33.03, intensity 17
- d = 2.668 Å, 2θ 33.59, intensity 34
- d = 1.902 Å, 2θ 47.83, intensity 25
- d = 1.886 Å, 2θ 48.24, intensity 12
- d = 1.630 Å, 2θ 56.44, intensity 15
- d = 1.611 Å, 2θ 57.18, intensity 29
- d = 1.549 Å, 2θ 59.71, intensity 13
- d = 1.334 Å, 2θ 70.61, intensity 4
- d = 1.234 Å, 2θ 77.36, intensity 12
- d = 1.225 Å, 2θ 77.99, intensity 6
- d = 1.209 Å, 2θ 79.25, intensity 5

=====

(9)
Starting from the GGA-PBE geometry in Alexandria, the powder diffractogram of PmEu3 was computed for Cu Ka.

Structure:
a b c (Å): 5.4048 5.4048 5.4048
angles (deg): 90.00 90.00 90.00
Space group Pm-3m (No. 221)
Unique sites:
Pm 0.0000 0.0000 0.0000 [1 per cell]
Eu 0.0000 0.5000 0.5000 [3 per cell]

Top 8 peaks for 10 to 80 degrees two-theta, by angle:
- d = 3.120 Å, 2θ 28.61, intensity 100
- d = 2.702 Å, 2θ 33.15, intensity 51
- d = 1.911 Å, 2θ 47.59, intensity 37
- d = 1.630 Å, 2θ 56.47, intensity 45
- d = 1.560 Å, 2θ 59.22, intensity 13
- d = 1.351 Å, 2θ 69.58, intensity 6
- d = 1.240 Å, 2θ 76.89, intensity 18
- d = 1.209 Å, 2θ 79.27, intensity 17

=====

(10)
Starting from the GGA-PBE geometry in Alexandria, the powder diffractogram of PmEuRh was computed for Cu Ka.

Structure:
a b c (Å): 4.1008 4.1008 6.5195
angles (deg): 90.00 90.00 120.00
Space group P3m1 (No. 156)
Unique sites:
Pm 0.0000 0.0000 0.0000 [1 per cell]
Eu 0.3333 0.6667 0.5172 [1 per cell]
Rh 0.6667 0.3333 0.7771 [1 per cell]

Top 12 peaks for 10 to 80 degrees two-theta, by angle:
- d = 6.519 Å, 2θ 13.58, intensity 19
- d = 3.260 Å, 2θ 27.36, intensity 9
- d = 3.119 Å, 2θ 28.62, intensity 100
- d = 2.401 Å, 2θ 37.45, intensity 41
- d = 2.050 Å, 2θ 44.17, intensity 33
- d = 1.854 Å, 2θ 49.15, intensity 24
- d = 1.736 Å, 2θ 52.74, intensity 9
- d = 1.713 Å, 2θ 53.48, intensity 17
- d = 1.559 Å, 2θ 59.26, intensity 11
- d = 1.315 Å, 2θ 71.80, intensity 14
- d = 1.276 Å, 2θ 74.35, intensity 13
- d = 1.241 Å, 2θ 76.79, intensity 10

=====

(11)
Starting from the GGA-PBE geometry in Alexandria, the powder diffractogram of Pm3EuRu was computed for Cu Ka.

Structure:
a b c (Å): 5.5780 5.5780 5.5780
angles (deg): 90.00 90.00 90.00
Space group Pm-3m (No. 221)
Unique sites:
Pm 0.0000 0.0000 0.5000 [3 per cell]
Eu 0.5000 0.5000 0.5000 [1 per cell]
Ru 0.0000 0.0000 0.0000 [1 per cell]

Top 12 peaks for 10 to 80 degrees two-theta, by angle:
- d = 5.578 Å, 2θ 15.89, intensity 12
- d = 3.944 Å, 2θ 22.54, intensity 12
- d = 3.220 Å, 2θ 27.70, intensity 96
- d = 2.789 Å, 2θ 32.09, intensity 100
- d = 2.495 Å, 2θ 36.00, intensity 6
- d = 2.277 Å, 2θ 39.58, intensity 6
- d = 1.972 Å, 2θ 46.02, intensity 73
- d = 1.682 Å, 2θ 54.57, intensity 44
- d = 1.610 Å, 2θ 57.21, intensity 26
- d = 1.394 Å, 2θ 67.12, intensity 12
- d = 1.280 Å, 2θ 74.09, intensity 18
- d = 1.247 Å, 2θ 76.35, intensity 33

=====

(12)
Starting from the GGA-PBE geometry in Alexandria, the powder diffractogram of PmEuTmSc was computed for Cu Ka.

Structure:
a b c (Å): 7.9595 7.9595 7.9595
angles (deg): 90.00 90.00 90.00
Space group F-43m (No. 216)
Unique sites:
Pm 0.0000 0.0000 0.0000 [4 per cell]
Eu 0.0000 0.0000 0.5000 [4 per cell]
Tm 0.2500 0.2500 0.7500 [4 per cell]
Sc 0.2500 0.2500 0.2500 [4 per cell]

Top 12 peaks for 10 to 80 degrees two-theta, by angle:
- d = 4.595 Å, 2θ 19.32, intensity 13
- d = 3.980 Å, 2θ 22.34, intensity 3
- d = 2.814 Å, 2θ 31.80, intensity 100
- d = 2.400 Å, 2θ 37.47, intensity 7
- d = 1.990 Å, 2θ 45.59, intensity 18
- d = 1.826 Å, 2θ 49.94, intensity 3
- d = 1.780 Å, 2θ 51.34, intensity 2
- d = 1.625 Å, 2θ 56.65, intensity 38
- d = 1.532 Å, 2θ 60.43, intensity 3
- d = 1.407 Å, 2θ 66.45, intensity 12
- d = 1.345 Å, 2θ 69.92, intensity 3
- d = 1.259 Å, 2θ 75.55, intensity 16

=====

(13)
Starting from the GGA-PBE geometry in Alexandria, the powder diffractogram of PmEu2Sn was computed for Cu Ka.

Structure:
a b c (Å): 7.9859 7.9859 7.9859
angles (deg): 90.00 90.00 90.00
Space group Fm-3m (No. 225)
Unique sites:
Pm 0.0000 0.0000 0.0000 [4 per cell]
Eu 0.2500 0.2500 0.2500 [8 per cell]
Sn 0.0000 0.0000 0.5000 [4 per cell]

Top 5 peaks for 10 to 80 degrees two-theta, by angle:
- d = 2.823 Å, 2θ 31.69, intensity 100
- d = 1.996 Å, 2θ 45.43, intensity 19
- d = 1.630 Å, 2θ 56.45, intensity 39
- d = 1.412 Å, 2θ 66.20, intensity 12
- d = 1.263 Å, 2θ 75.26, intensity 17

=====

(14)
Starting from the GGA-PBE geometry in Alexandria, the powder diffractogram of PmEuSn4 was computed for Cu Ka.

Structure:
a b c (Å): 8.8380 8.8380 8.8380
angles (deg): 90.00 90.00 90.00
Space group F-43m (No. 216)
Unique sites:
Pm 0.0000 0.0000 0.0000 [4 per cell]
Eu 0.2500 0.2500 0.7500 [4 per cell]
Sn 0.1254 0.1254 0.3746 [16 per cell]

Top 12 peaks for 10 to 80 degrees two-theta, by angle:
- d = 5.103 Å, 2θ 17.38, intensity 1
- d = 3.125 Å, 2θ 28.57, intensity 33
- d = 2.665 Å, 2θ 33.63, intensity 100
- d = 2.551 Å, 2θ 35.18, intensity 34
- d = 2.209 Å, 2θ 40.84, intensity 3
- d = 1.804 Å, 2θ 50.60, intensity 14
- d = 1.701 Å, 2θ 53.90, intensity 35
- d = 1.562 Å, 2θ 59.13, intensity 30
- d = 1.397 Å, 2θ 66.96, intensity 6
- d = 1.348 Å, 2θ 69.78, intensity 12
- d = 1.332 Å, 2θ 70.71, intensity 14
- d = 1.276 Å, 2θ 74.36, intensity 1

=====

(15)
Starting from the GGA-PBE geometry in Alexandria, the powder diffractogram of PmEuTm2 was computed for Cu Ka.

Structure:
a b c (Å): 3.6288 3.6288 10.1742
angles (deg): 90.00 90.00 90.00
Space group P4/mmm (No. 123)
Unique sites:
Pm 0.0000 0.0000 0.0000 [1 per cell]
Eu 0.0000 0.0000 0.5000 [1 per cell]
Tm 0.5000 0.5000 0.2368 [2 per cell]

Top 12 peaks for 10 to 80 degrees two-theta, by angle:
- d = 2.954 Å, 2θ 30.25, intensity 100
- d = 2.566 Å, 2θ 34.97, intensity 35
- d = 2.544 Å, 2θ 35.29, intensity 16
- d = 2.478 Å, 2θ 36.26, intensity 1
- d = 1.814 Å, 2θ 50.29, intensity 12
- d = 1.806 Å, 2θ 50.52, intensity 23
- d = 1.775 Å, 2θ 51.49, intensity 1
- d = 1.546 Å, 2θ 59.82, intensity 29
- d = 1.536 Å, 2θ 60.24, intensity 13
- d = 1.477 Å, 2θ 62.92, intensity 12
- d = 1.283 Å, 2θ 73.87, intensity 4
- d = 1.272 Å, 2θ 74.63, intensity 2

=====

(16)
Starting from the GGA-PBE geometry in Alexandria, the powder diffractogram of PrEu3 was computed for Cu Ka.

Structure:
a b c (Å): 3.7794 6.2323 6.7793
angles (deg): 90.00 90.00 90.00
Space group Pmm2 (No. 25)
Unique sites:
Pr 0.0000 0.0000 0.0000 [1 per cell]
Eu 0.0000 0.5000 0.3096 [1 per cell]
Eu 0.5000 0.0000 0.5021 [1 per cell]
Eu 0.5000 0.5000 0.8208 [1 per cell]

Top 12 peaks for 10 to 80 degrees two-theta, by angle:
- d = 3.301 Å, 2θ 27.01, intensity 30
- d = 3.116 Å, 2θ 28.65, intensity 43
- d = 2.978 Å, 2θ 30.01, intensity 64
- d = 2.917 Å, 2θ 30.65, intensity 100
- d = 2.266 Å, 2θ 39.78, intensity 22
- d = 1.940 Å, 2θ 46.84, intensity 21
- d = 1.771 Å, 2θ 51.60, intensity 14
- d = 1.758 Å, 2θ 52.01, intensity 23
- d = 1.647 Å, 2θ 55.83, intensity 25
- d = 1.616 Å, 2θ 56.99, intensity 12
- d = 1.596 Å, 2θ 57.79, intensity 20
- d = 1.215 Å, 2θ 78.79, intensity 16